Structure and computed powder X-ray diffraction pattern of Y5NpRu4 (DFT lattice parameters and positions (PBE); Cu Kα X-rays).
Intensities are scaled so that the largest is 100.

Most intense lines, 10 to 90 degrees two-theta, sorted by position:
two_theta	I (rel.)	h k l
11.7	54	2 0 0
15.5	53	2 0 -1
23.6	21	1 1 -1
34.6	100	3 1 -2
35.0	18	1 1 2
35.6	50	6 0 0
39.6	42	0 2 0
40.4	21	5 1 -2
40.9	65	3 1 2
54.3	28	6 2 0

Cell and atoms:
a = 15.567 Å, b = 4.556 Å, c = 6.869 Å
α = 90.00°, β = 103.75°, γ = 90.00°
Space group C2/m (No. 12)
One atom of each set of equivalent atoms:
Y1 0.000 0.000 0.000 x2
Y2 0.168 0.500 0.042 x4
Y3 0.172 0.500 0.543 x4
Np1 0.000 0.000 0.500 x2
Ru1 0.003 0.500 0.719 x4
Ru2 0.143 0.000 0.765 x4